1.
Mn5Fe5Si2C2: simulated PXRD pattern (a wavelength of 1.5418 Å), based on a DFT-relaxed cell (GGA-PBE, the Materials Project).

Structural model:
```
Mn5Fe5Si2C2
1.0
4.985 -3.932 0.000
4.985 3.932 0.000
0.000 0.000 7.409
Mn Fe Si C
10 10 4 4
direct
0.011 0.694 0.210
0.017 0.685 0.835
0.040 0.960 0.500
0.306 0.989 0.210
0.315 0.983 0.835
0.685 0.017 0.335
0.694 0.011 0.710
0.960 0.040 0.000
0.983 0.315 0.335
0.989 0.306 0.710
0.194 0.562 0.527
0.350 0.650 0.023
0.371 0.383 0.274
0.383 0.371 0.774
0.438 0.806 0.527
0.562 0.194 0.027
0.617 0.629 0.274
0.629 0.617 0.774
0.650 0.350 0.523
0.806 0.438 0.027
0.172 0.324 0.023
0.324 0.172 0.523
0.676 0.828 0.023
0.828 0.676 0.523
0.296 0.704 0.318
0.312 0.688 0.737
0.688 0.312 0.237
0.704 0.296 0.818
```

Largest 6 diffraction maxima, in order of rising 2θ, 10° ≤ 2θ ≤ 90°:
2θ (°)  I_rel
43.25  100
43.78  28
43.99  36
44.75  48
47.29  43
50.74  21

2.
Fe21Mo2C6: simulated PXRD pattern (a wavelength of 1.5418 Å), based on a DFT-relaxed cell (GGA-PBE, the Materials Project).

Structural model:
```
Fe21Mo2C6
1.0
0.000 5.247 5.247
5.247 0.000 5.247
5.247 5.247 0.000
Fe Mo C
21 2 6
direct
0.000 0.000 0.000
0.000 0.000 0.339
0.000 0.000 0.661
0.000 0.339 0.000
0.000 0.339 0.661
0.000 0.661 0.000
0.000 0.661 0.339
0.151 0.616 0.616
0.339 0.000 0.000
0.339 0.000 0.661
0.339 0.661 0.000
0.384 0.384 0.384
0.384 0.384 0.849
0.384 0.849 0.384
0.616 0.151 0.616
0.616 0.616 0.151
0.616 0.616 0.616
0.661 0.000 0.000
0.661 0.000 0.339
0.661 0.339 0.000
0.849 0.384 0.384
0.250 0.250 0.250
0.750 0.750 0.750
0.280 0.280 0.720
0.280 0.720 0.280
0.280 0.720 0.720
0.720 0.280 0.280
0.720 0.280 0.720
0.720 0.720 0.280
```

Largest 6 diffraction maxima, in order of rising 2θ, 10° ≤ 2θ ≤ 90°:
2θ (°)  I_rel
38.36  41
42.19  42
44.88  100
49.11  28
51.52  27
77.13  28

3.
Fe3Mo3C: simulated PXRD pattern (a wavelength of 1.5418 Å), based on a DFT-relaxed cell (GGA-PBE, the Materials Project).

Structural model:
```
Fe3Mo3C
1.0
0.000 5.532 5.532
5.532 0.000 5.532
5.532 5.532 0.000
Fe Mo C
12 12 4
direct
0.000 0.000 0.000
0.000 0.000 0.500
0.000 0.500 0.000
0.105 0.798 0.798
0.202 0.202 0.202
0.202 0.202 0.895
0.202 0.895 0.202
0.500 0.000 0.000
0.798 0.105 0.798
0.798 0.798 0.105
0.798 0.798 0.798
0.895 0.202 0.202
0.172 0.172 0.578
0.172 0.578 0.172
0.172 0.578 0.578
0.422 0.422 0.828
0.422 0.828 0.422
0.422 0.828 0.828
0.578 0.172 0.172
0.578 0.172 0.578
0.578 0.578 0.172
0.828 0.422 0.422
0.828 0.422 0.828
0.828 0.828 0.422
0.000 0.500 0.500
0.500 0.000 0.500
0.500 0.500 0.000
0.500 0.500 0.500
```

Largest 6 diffraction maxima, in order of rising 2θ, 10° ≤ 2θ ≤ 90°:
2θ (°)  I_rel
35.36  17
39.92  43
42.45  100
46.42  46
72.48  36
87.77  17

4.
FeC6N9: simulated PXRD pattern (a wavelength of 1.5418 Å), based on a DFT-relaxed cell (GGA-PBE, the Materials Project).

Structural model:
```
FeC6N9
1.0
3.568 -6.898 0.000
3.568 6.898 0.000
0.000 0.000 11.824
Fe C N
2 12 18
direct
0.215 0.785 0.750
0.785 0.215 0.250
0.027 0.291 0.750
0.198 0.484 0.096
0.198 0.484 0.404
0.291 0.027 0.250
0.484 0.198 0.596
0.484 0.198 0.904
0.516 0.802 0.096
0.516 0.802 0.404
0.709 0.973 0.750
0.802 0.516 0.596
0.802 0.516 0.904
0.973 0.709 0.250
0.032 0.349 0.133
0.032 0.349 0.367
0.088 0.912 0.250
0.142 0.477 0.750
0.349 0.032 0.633
0.349 0.032 0.867
0.375 0.625 0.049
0.375 0.625 0.451
0.477 0.142 0.250
0.523 0.858 0.750
0.625 0.375 0.549
0.625 0.375 0.951
0.651 0.968 0.133
0.651 0.968 0.367
0.858 0.523 0.250
0.912 0.088 0.750
0.968 0.651 0.633
0.968 0.651 0.867
```

Largest 6 diffraction maxima, in order of rising 2θ, 10° ≤ 2θ ≤ 90°:
2θ (°)  I_rel
12.83  100
14.99  60
15.87  46
24.23  54
26.04  66
26.63  38

5.
Fe2C3N6: simulated PXRD pattern (a wavelength of 1.5418 Å), based on a DFT-relaxed cell (GGA-PBE, the Materials Project).

Structural model:
```
Fe2C3N6
1.0
2.635 1.521 9.236
-2.635 1.521 9.236
0.000 -3.042 9.236
Fe C N
4 6 12
direct
0.166 0.166 0.166
0.334 0.334 0.334
0.666 0.666 0.666
0.834 0.834 0.834
0.073 0.750 0.427
0.250 0.573 0.927
0.427 0.073 0.750
0.573 0.927 0.250
0.750 0.427 0.073
0.927 0.250 0.573
0.046 0.656 0.417
0.083 0.844 0.454
0.156 0.546 0.917
0.344 0.583 0.954
0.417 0.046 0.656
0.454 0.083 0.844
0.546 0.917 0.156
0.583 0.954 0.344
0.656 0.417 0.046
0.844 0.454 0.083
0.917 0.156 0.546
0.954 0.344 0.583
```

Largest 6 diffraction maxima, in order of rising 2θ, 10° ≤ 2θ ≤ 90°:
2θ (°)  I_rel
19.22  49
20.49  84
23.34  59
35.43  40
39.37  100
52.71  44

6.
FeC6N6: simulated PXRD pattern (a wavelength of 1.5418 Å), based on a DFT-relaxed cell (GGA-PBE, the Materials Project).

Structural model:
```
FeC6N6
1.0
6.479 0.000 0.000
0.000 11.910 0.000
-1.987 0.000 7.026
Fe C N
2 12 12
direct
0.000 0.000 0.000
0.000 0.500 0.500
0.128 0.048 0.806
0.128 0.452 0.306
0.184 0.629 0.541
0.184 0.871 0.041
0.216 0.075 0.188
0.216 0.425 0.688
0.784 0.575 0.312
0.784 0.925 0.812
0.816 0.129 0.959
0.816 0.371 0.459
0.872 0.548 0.694
0.872 0.952 0.194
0.204 0.078 0.686
0.204 0.422 0.186
0.290 0.711 0.566
0.290 0.789 0.066
0.347 0.122 0.309
0.347 0.378 0.809
0.653 0.622 0.191
0.653 0.878 0.691
0.710 0.211 0.934
0.710 0.289 0.434
0.796 0.578 0.814
0.796 0.922 0.314
```

Largest 6 diffraction maxima, in order of rising 2θ, 10° ≤ 2θ ≤ 90°:
2θ (°)  I_rel
14.21  47
14.64  100
14.88  53
17.87  57
20.63  50
26.60  48